[1]
The following is a calculated powder diffractogram of Y3Cu4Pt4. It was derived from a cell relaxed with PBE, using Cu Kα X-rays.

Crystal structure
abc: 6.498 6.498 6.498
angles: 109.47 109.47 109.47
Sites, in units of the cell vectors:
Y: 0.000 0.500 0.500
Y: 0.500 0.000 0.500
Y: 0.500 0.500 0.000
Cu: 0.000 0.000 0.231
Cu: 0.000 0.231 0.000
Cu: 0.231 0.000 0.000
Cu: 0.769 0.769 0.769
Pt: 0.000 0.000 0.596
Pt: 0.000 0.596 0.000
Pt: 0.404 0.404 0.404
Pt: 0.596 0.000 0.000

Peak list (10 most intense, 2θ = 5–70°, sorted by position)
2theta, I (rel.)
16.71, 148
23.72, 197
29.15, 416
33.79, 1000
37.92, 343
45.22, 467
51.69, 591
57.62, 151
60.45, 171
63.19, 164

---

[2]
The following is a calculated powder diffractogram of TiH12C2N6F6. It was derived from a cell relaxed with PBE, using Cu Kα X-rays.

Crystal structure
abc: 7.411 7.411 6.453
angles: 109.41 109.41 59.83
Sites, in units of the cell vectors:
Ti: 0.000 0.000 0.000
H: 0.009 0.456 0.256
H: 0.009 0.693 0.260
H: 0.307 0.543 0.742
H: 0.307 0.991 0.740
H: 0.456 0.009 0.256
H: 0.457 0.693 0.258
H: 0.543 0.307 0.742
H: 0.544 0.991 0.744
H: 0.693 0.009 0.260
H: 0.693 0.457 0.258
H: 0.991 0.307 0.740
H: 0.991 0.544 0.744
C: 0.278 0.278 0.726
C: 0.722 0.722 0.274
N: 0.068 0.382 0.724
N: 0.381 0.381 0.721
N: 0.382 0.068 0.724
N: 0.618 0.932 0.276
N: 0.619 0.619 0.279
N: 0.932 0.618 0.276
F: 0.157 0.157 0.173
F: 0.160 0.797 0.188
F: 0.203 0.840 0.812
F: 0.797 0.160 0.188
F: 0.840 0.203 0.812
F: 0.843 0.843 0.827

Peak list (10 most intense, 2θ = 5–70°, sorted by position)
2theta, I (rel.)
14.12, 1000
14.87, 461
16.56, 743
22.56, 847
24.86, 153
29.36, 306
29.99, 283
30.13, 179
30.49, 148
37.16, 156

---

[3]
The following is a calculated powder diffractogram of Ac4SbPbN. It was derived from a cell relaxed with PBE, using Cu Kα X-rays.

Crystal structure
abc: 9.871 9.871 7.186
angles: 90.00 90.00 137.02
Sites, in units of the cell vectors:
Ac: 0.000 0.500 0.000
Ac: 0.000 0.500 0.500
Ac: 0.073 0.927 0.750
Ac: 0.418 0.582 0.750
Ac: 0.500 0.000 0.000
Ac: 0.500 0.000 0.500
Ac: 0.582 0.418 0.250
Ac: 0.927 0.073 0.250
Sb: 0.387 0.613 0.250
Sb: 0.613 0.387 0.750
Pb: 0.112 0.888 0.250
Pb: 0.888 0.112 0.750
N: 0.283 0.717 0.750
N: 0.717 0.283 0.250

Peak list (10 most intense, 2θ = 5–70°, sorted by position)
2theta, I (rel.)
26.49, 735
26.64, 725
29.17, 571
29.98, 343
31.49, 728
31.62, 720
35.21, 1000
46.35, 659
58.18, 312
60.80, 288

---

[4]
The following is a calculated powder diffractogram of PaBr4. It was derived from a cell relaxed with PBE, using Cu Kα X-rays.

Crystal structure
abc: 9.437 9.437 7.172
angles: 102.42 102.42 127.47
Sites, in units of the cell vectors:
Pa: 0.071 0.929 0.750
Pa: 0.929 0.071 0.250
Br: 0.062 0.414 0.245
Br: 0.160 0.272 0.705
Br: 0.272 0.160 0.205
Br: 0.414 0.062 0.745
Br: 0.586 0.938 0.255
Br: 0.728 0.840 0.795
Br: 0.840 0.728 0.295
Br: 0.938 0.586 0.755

Peak list (10 most intense, 2θ = 5–70°, sorted by position)
2theta, I (rel.)
10.45, 403
13.21, 1000
14.41, 163
17.61, 377
20.72, 320
28.48, 405
30.16, 722
40.21, 284
43.63, 383
52.15, 161

---

[5]
The following is a calculated powder diffractogram of Tb4NdY2Sc. It was derived from a cell relaxed with PBE, using Cu Kα X-rays.

Crystal structure
abc: 4.999 5.010 10.028
angles: 90.00 90.05 90.00
Sites, in units of the cell vectors:
Tb: 0.000 0.000 0.243
Tb: 0.000 0.000 0.757
Tb: 0.500 0.500 0.243
Tb: 0.500 0.500 0.757
Nd: 0.000 0.500 0.500
Y: 0.000 0.500 0.000
Y: 0.500 0.000 0.500
Sc: 0.500 0.000 0.000

Peak list (10 most intense, 2θ = 5–70°, sorted by position)
2theta, I (rel.)
17.70, 79
25.16, 71
26.70, 35
30.93, 1000
35.83, 335
35.93, 168
51.62, 351
61.36, 273
61.49, 139
64.45, 118

---

[6]
The following is a calculated powder diffractogram of LiAgTe2. It was derived from a cell relaxed with PBE, using Cu Kα X-rays.

Crystal structure
abc: 4.440 4.075 5.947
angles: 90.00 106.94 90.00
Sites, in units of the cell vectors:
Li: 0.000 0.000 0.000
Ag: 0.500 0.000 0.500
Te: 0.266 0.500 0.750
Te: 0.734 0.500 0.250

Peak list (10 most intense, 2θ = 5–70°, sorted by position)
2theta, I (rel.)
15.58, 235
20.91, 181
29.69, 575
31.30, 1000
38.60, 566
44.46, 188
45.24, 174
46.40, 165
48.33, 286
54.38, 204